1.
This entry pairs a crystal structure of ReHg2O5 with its calculated powder diffractogram. Radiation: Cu Kα (λ = 1.5418 Å). Structure: a DFT-relaxed cell (GGA-PBE, the Materials Project).
Intensities are scaled so that the largest is 100.

The 10 most intense peaks (2θ = 5–70°), in order of rising 2θ:
two_theta  I (rel.)  h k l
22.46  100  1 -2 1
23.10  87  1 1 1
23.65  67  2 -1 0
24.01  49  2 1 -1
24.59  78  1 2 -2
26.31  54  2 -1 1
26.85  64  1 -2 2
31.78  97  -2 1 2
32.16  60  0 3 0
45.51  57  -1 2 3

Cell: 8.1822 9.1933 9.2480 Å, 113.95 101.59 91.08°
Space group P-1 (No. 2)
One atom of each set of equivalent atoms:
Re: 0.1002 0.2519 0.0390 [2 per cell]
Re: 0.2744 0.6524 0.5029 [2 per cell]
Hg: 0.0000 0.0000 0.5000 [1 per cell]
Hg: 0.3083 0.3234 0.6907 [2 per cell]
Hg: 0.3383 0.9692 0.3050 [2 per cell]
Hg: 0.3674 0.6081 0.9295 [2 per cell]
Hg: 0.5000 0.0000 0.0000 [1 per cell]
O: 0.0232 0.1653 0.8267 [2 per cell]
O: 0.0649 0.6838 0.4474 [2 per cell]
O: 0.0678 0.7029 0.8664 [2 per cell]
O: 0.2143 0.1146 0.0956 [2 per cell]
O: 0.2299 0.4284 0.0937 [2 per cell]
O: 0.2483 0.0729 0.5146 [2 per cell]
O: 0.2890 0.4480 0.4493 [2 per cell]
O: 0.3482 0.7571 0.7143 [2 per cell]
O: 0.3989 0.7280 0.4080 [2 per cell]
O: 0.4601 0.8532 0.1186 [2 per cell]

2.
This entry pairs a crystal structure of RbLiAgO2 with its calculated powder diffractogram. Radiation: Cu Kα (λ = 1.5418 Å). Structure: a DFT-relaxed cell (GGA-PBE, the Materials Project).
Intensities are scaled so that the largest is 100.

The 10 most intense peaks (2θ = 5–70°), in order of rising 2θ:
two_theta  I (rel.)  h k l
16.29  64  0 0 1
22.23  100  0 1 1
26.25  29  1 0 0
30.31  24  0 2 0
34.65  73  1 1 1
36.36  31  0 1 2
40.52  35  1 2 0
43.94  18  1 2 1
45.39  33  1 1 2
56.69  17  1 3 1

Cell: 3.3954 5.8979 5.4417 Å, 90.00 90.00 90.00°
Space group Pmm2 (No. 25)
One atom of each set of equivalent atoms:
Rb: 0.0000 0.0000 0.0000 [1 per cell]
Li: 0.5000 0.0000 0.4578 [1 per cell]
Ag: 0.0000 0.5000 0.3313 [1 per cell]
O: 0.5000 0.2673 0.3135 [2 per cell]

Repeat the second record exactly.
This entry pairs a crystal structure of RbLiAgO2 with its calculated powder diffractogram. Radiation: Cu Kα (λ = 1.5418 Å). Structure: a DFT-relaxed cell (GGA-PBE, the Materials Project).
Intensities are scaled so that the largest is 100.

The 10 most intense peaks (2θ = 5–70°), in order of rising 2θ:
two_theta  I (rel.)  h k l
16.29  64  0 0 1
22.23  100  0 1 1
26.25  29  1 0 0
30.31  24  0 2 0
34.65  73  1 1 1
36.36  31  0 1 2
40.52  35  1 2 0
43.94  18  1 2 1
45.39  33  1 1 2
56.69  17  1 3 1

Cell: 3.3954 5.8979 5.4417 Å, 90.00 90.00 90.00°
Space group Pmm2 (No. 25)
One atom of each set of equivalent atoms:
Rb: 0.0000 0.0000 0.0000 [1 per cell]
Li: 0.5000 0.0000 0.4578 [1 per cell]
Ag: 0.0000 0.5000 0.3313 [1 per cell]
O: 0.5000 0.2673 0.3135 [2 per cell]